# CaAl4Si2O12
Calculated X-ray powder pattern, CuKα. Input: DFT lattice parameters and positions (PBE).
Intensities are scaled so that the largest is 1000.

Atomic structure:
abc: 5.1974 9.0646 19.3724
angles: 90.00 94.23 90.00
Space group C2/c (No. 15)
Asymmetric unit:
Ca1 0.0000 0.0925 0.2500 [4 per cell]
Al1 0.0415 0.2429 0.8572 [8 per cell]
Al2 0.2240 0.4025 0.0006 [8 per cell]
Si1 0.0302 0.4289 0.3555 [8 per cell]
O1 0.0293 0.4522 0.4395 [8 per cell]
O2 0.0342 0.0407 0.4656 [8 per cell]
O3 0.1288 0.2502 0.9442 [8 per cell]
O4 0.1347 0.4164 0.8213 [8 per cell]
O5 0.2094 0.2894 0.3315 [8 per cell]
O6 0.2320 0.1014 0.8210 [8 per cell]

Peak list (10 most intense, 15 to 90 degrees two-theta, low angle first)
Position (°2θ)  I (rel.)  hkl
20.0  668  1 1 -1
23.4  614  1 1 -3
24.0  477  0 2 3
26.2  693  1 1 -4
27.7  842  0 0 6
28.0  760  1 1 4
30.4  562  0 2 5
34.9  1000  1 3 1
35.2  483  2 0 -2
61.7  576  3 3 -1

***

# ZnSb2O4
Calculated X-ray powder pattern, CuKα. Input: DFT lattice parameters and positions (PBE).
Intensities are scaled so that the largest is 1000.

Atomic structure:
abc: 8.6689 8.6689 6.0814
angles: 90.00 90.00 90.00
Space group P4_2/mbc (No. 135)
Asymmetric unit:
Zn1 0.0000 0.5000 0.2500 [4 per cell]
Sb1 0.1641 0.1797 0.0000 [8 per cell]
O1 0.0940 0.3617 0.5000 [8 per cell]
O2 0.1814 0.6814 0.2500 [8 per cell]

Peak list (10 most intense, 15 to 90 degrees two-theta, low angle first)
Position (°2θ)  I (rel.)  hkl
20.5  113  2 0 0
27.3  1000  2 1 1
29.1  172  2 2 0
32.7  250  3 1 0
32.9  129  1 1 2
36.1  257  2 0 2
45.7  334  4 1 1
50.8  177  2 1 3
54.1  257  3 3 2
63.8  119  4 1 3

***

# Na3H6Rh
Calculated X-ray powder pattern, CuKα. Input: DFT lattice parameters and positions (PBE).
Intensities are scaled so that the largest is 1000.

Atomic structure:
abc: 9.3787 5.2391 9.6029
angles: 90.00 90.00 90.00
Space group Pnma (No. 62)
Asymmetric unit:
Na1 0.0446 0.2500 0.1277 [4 per cell]
Na2 0.1019 0.7500 0.5332 [4 per cell]
Na3 0.2208 0.2500 0.7503 [4 per cell]
H1 0.1103 0.0306 0.3374 [8 per cell]
H2 0.1260 0.2500 0.5458 [4 per cell]
H3 0.1699 0.5215 0.9650 [8 per cell]
H4 0.1868 0.7500 0.7513 [4 per cell]
Rh1 0.2222 0.2500 0.4005 [4 per cell]

Peak list (10 most intense, 15 to 90 degrees two-theta, low angle first)
Position (°2θ)  I (rel.)  hkl
18.9  685  2 0 0
19.3  536  0 1 1
20.8  919  1 0 2
21.5  964  1 1 1
32.8  855  0 1 3
34.2  1000  0 2 0
34.7  725  3 1 1
38.1  463  2 1 3
38.4  307  4 0 0
49.2  302  3 2 2

***

# MgTe4Mo2W2Se2S2
Calculated X-ray powder pattern, CuKα. Input: DFT lattice parameters and positions (PBE).
Intensities are scaled so that the largest is 1000.

Atomic structure:
abc: 3.3886 3.3886 46.5110
angles: 90.00 90.00 120.00
Space group P3m1 (No. 156)
Asymmetric unit:
Mg1 0.0000 0.0000 0.0000 [1 per cell]
Te1 0.3333 0.6667 0.4261 [1 per cell]
Te2 0.3333 0.6667 0.5073 [1 per cell]
Te3 0.6667 0.3333 0.8566 [1 per cell]
Te4 0.6667 0.3333 0.9377 [1 per cell]
Mo1 0.3333 0.6667 0.2792 [1 per cell]
Mo2 0.3333 0.6667 0.8969 [1 per cell]
W1 0.6667 0.3333 0.1006 [1 per cell]
W2 0.6667 0.3333 0.4667 [1 per cell]
Se1 0.6667 0.3333 0.2436 [1 per cell]
Se2 0.6667 0.3333 0.3147 [1 per cell]
S1 0.3333 0.6667 0.0680 [1 per cell]
S2 0.3333 0.6667 0.1329 [1 per cell]

Peak list (10 most intense, 15 to 90 degrees two-theta, low angle first)
Position (°2θ)  I (rel.)  hkl
30.5  636  1 0 0
32.0  339  0 1 5
32.6  197  0 1 6
34.2  786  1 0 8
37.3  359  1 0 11
39.7  1000  1 0 13
41.0  274  0 1 14
54.1  408  1 1 0
55.1  260  1 1 5
69.2  191  0 2 13

***

# Sr2RuO4
Calculated X-ray powder pattern, CuKα. Input: DFT lattice parameters and positions (PBE).
Intensities are scaled so that the largest is 1000.

Atomic structure:
abc: 3.9035 3.9035 12.9019
angles: 90.00 90.00 90.00
Space group I4/mmm (No. 139)
Asymmetric unit:
Sr1 0.0000 0.0000 0.1474 [4 per cell]
Ru1 0.0000 0.0000 0.5000 [2 per cell]
O1 0.0000 0.0000 0.3371 [4 per cell]
O2 0.0000 0.5000 0.0000 [4 per cell]

Peak list (10 most intense, 15 to 90 degrees two-theta, low angle first)
Position (°2θ)  I (rel.)  hkl
30.9  1000  1 0 3
32.4  630  1 1 0
42.0  305  0 0 6
46.5  335  2 0 0
54.1  203  1 1 6
56.9  365  2 1 3
64.5  246  2 0 6
67.9  100  2 2 0
77.3  100  3 1 0
83.2  100  2 2 6

***

# Si2TcOs
Calculated X-ray powder pattern, CuKα. Input: DFT lattice parameters and positions (PBE).
Intensities are scaled so that the largest is 1000.

Atomic structure:
abc: 5.9277 5.9277 5.9277
angles: 90.00 90.00 90.00
Space group Fm-3m (No. 225)
Asymmetric unit:
Si1 0.2500 0.2500 0.2500 [8 per cell]
Tc1 0.0000 0.0000 0.0000 [4 per cell]
Os1 0.0000 0.0000 0.5000 [4 per cell]

Peak list (10 most intense, 15 to 90 degrees two-theta, low angle first)
Position (°2θ)  I (rel.)  hkl
26.0  152  1 1 1
30.2  590  2 0 0
43.2  1000  2 2 0
51.1  81  3 1 1
53.6  162  2 2 2
62.7  165  4 0 0
69.1  34  3 3 1
71.1  206  4 2 0
79.2  339  4 2 2
85.0  28  5 1 1

***

# ReMoC2
Calculated X-ray powder pattern, CuKα. Input: DFT lattice parameters and positions (PBE).
Intensities are scaled so that the largest is 1000.

Atomic structure:
abc: 3.1027 3.1027 14.9559
angles: 90.00 90.00 120.00
Space group R-3m (No. 166, hexagonal axes)
Asymmetric unit:
Re1 0.0000 0.0000 0.0000 [3 per cell]
Mo1 0.0000 0.0000 0.5000 [3 per cell]
C1 0.0000 0.0000 0.2514 [6 per cell]

Peak list (10 most intense, 15 to 90 degrees two-theta, low angle first)
Position (°2θ)  I (rel.)  hkl
17.8  188  0 0 3
35.5  1000  0 1 2
36.0  321  0 0 6
41.4  873  1 0 4
59.6  290  1 1 0
60.3  280  0 1 8
71.3  136  2 0 2
71.7  269  1 1 6
72.3  131  1 0 10
75.1  147  0 2 4

***

# KLaZrTiO6
Calculated X-ray powder pattern, CuKα. Input: DFT lattice parameters and positions (PBE).
Intensities are scaled so that the largest is 1000.

Atomic structure:
abc: 8.1125 8.1125 8.1125
angles: 90.00 90.00 90.00
Space group F-43m (No. 216)
Asymmetric unit:
K1 0.0000 0.0000 0.0000 [4 per cell]
La1 0.0000 0.0000 0.5000 [4 per cell]
Zr1 0.2500 0.2500 0.7500 [4 per cell]
Ti1 0.2500 0.2500 0.2500 [4 per cell]
O1 0.0080 0.2500 0.2500 [24 per cell]

Peak list (10 most intense, 15 to 90 degrees two-theta, low angle first)
Position (°2θ)  I (rel.)  hkl
18.9  292  1 1 1
31.2  1000  2 2 0
36.7  182  3 1 1
38.4  83  2 2 2
44.7  373  4 0 0
48.9  88  3 3 1
55.5  381  4 2 2
65.0  216  4 4 0
73.9  162  6 2 0
82.4  70  4 4 4

***

# NdAl
Calculated X-ray powder pattern, CuKα. Input: DFT lattice parameters and positions (PBE).
Intensities are scaled so that the largest is 1000.

Atomic structure:
abc: 3.7257 3.7257 3.7257
angles: 90.00 90.00 90.00
Space group Pm-3m (No. 221)
Asymmetric unit:
Nd1 0.0000 0.0000 0.0000 [1 per cell]
Al1 0.5000 0.5000 0.5000 [1 per cell]

Peak list (10 most intense, 15 to 90 degrees two-theta, low angle first)
Position (°2θ)  I (rel.)  hkl
23.9  572  1 0 0
34.0  1000  1 1 0
42.0  175  1 1 1
48.9  179  2 0 0
55.1  238  2 1 0
60.9  370  2 1 1
71.6  114  2 2 0
76.7  112  3 0 0
81.7  160  3 1 0
86.7  68  3 1 1

***

Repeat the fourth record exactly.
# MgTe4Mo2W2Se2S2
Calculated X-ray powder pattern, CuKα. Input: DFT lattice parameters and positions (PBE).
Intensities are scaled so that the largest is 1000.

Atomic structure:
abc: 3.3886 3.3886 46.5110
angles: 90.00 90.00 120.00
Space group P3m1 (No. 156)
Asymmetric unit:
Mg1 0.0000 0.0000 0.0000 [1 per cell]
Te1 0.3333 0.6667 0.4261 [1 per cell]
Te2 0.3333 0.6667 0.5073 [1 per cell]
Te3 0.6667 0.3333 0.8566 [1 per cell]
Te4 0.6667 0.3333 0.9377 [1 per cell]
Mo1 0.3333 0.6667 0.2792 [1 per cell]
Mo2 0.3333 0.6667 0.8969 [1 per cell]
W1 0.6667 0.3333 0.1006 [1 per cell]
W2 0.6667 0.3333 0.4667 [1 per cell]
Se1 0.6667 0.3333 0.2436 [1 per cell]
Se2 0.6667 0.3333 0.3147 [1 per cell]
S1 0.3333 0.6667 0.0680 [1 per cell]
S2 0.3333 0.6667 0.1329 [1 per cell]

Peak list (10 most intense, 15 to 90 degrees two-theta, low angle first)
Position (°2θ)  I (rel.)  hkl
30.5  636  1 0 0
32.0  339  0 1 5
32.6  197  0 1 6
34.2  786  1 0 8
37.3  359  1 0 11
39.7  1000  1 0 13
41.0  274  0 1 14
54.1  408  1 1 0
55.1  260  1 1 5
69.2  191  0 2 13

***

> Number 6 is which compound?

Si2TcOs